Nb2CrMo2: simulated powder diffraction line list (Cu Ka), based on a crystal structure in the Materials Project, relaxed with PBE.
Neutral-atom scattering factors, no anomalous dispersion.

Structure:
```
Nb2CrMo2
1.0
0.0000 2.2624 11.1679
1.5887 0.0000 11.1679
1.5887 2.2624 0.0000
Nb Cr Mo
2 1 2
Cartesian
0.0000 0.0000 0.0000
1.5887 2.2624 8.6925
1.5887 2.2624 17.7293
1.5887 2.2624 4.5532
1.5887 2.2624 13.4964
```

The 10 most intense peaks (10° ≤ 2θ ≤ 90°), low angle first:
2θ (°)  intensity
32.06  4
39.84  26
40.12  100
40.38  22
58.04  23
72.53  16
72.73  8
73.09  7
73.25  12
86.64  9